Starting from a crystal structure in Alexandria, relaxed with PBE, the XRD peak list of La2Tb3Th4 was computed for λ = 1.5418 Å (Cu Kα).
Neutral-atom scattering factors, no anomalous dispersion.

Structure:
abc: 9.5695 9.5695 9.7759
angles: 114.91 114.91 21.79
Fractional positions:
La (0.1634, 0.1634, 0.0006)
La (0.8366, 0.8366, 0.9994)
Tb (0.3534, 0.3534, 0.3356)
Tb (0.5000, 0.5000, 0.0000)
Tb (0.6466, 0.6466, 0.6644)
Th (0.0250, 0.0250, 0.3372)
Th (0.3160, 0.3160, 0.6593)
Th (0.6840, 0.6840, 0.3407)
Th (0.9750, 0.9750, 0.6628)

Largest 6 diffraction maxima, sorted by position, 15 to 90 degrees two-theta:
29.29 deg, 3.049 Å, rel. 330
30.36 deg, 2.944 Å, rel. 566
31.59 deg, 2.832 Å, rel. 1000
33.22 deg, 2.697 Å, rel. 970
50.46 deg, 1.809 Å, rel. 412
60.03 deg, 1.541 Å, rel. 490

***

Starting from a crystal structure in Alexandria, relaxed with PBE, the XRD peak list of La4Tb4Th was computed for λ = 1.5418 Å (Cu Kα).
Neutral-atom scattering factors, no anomalous dispersion.

Structure:
abc: 8.1433 8.1433 8.1433
angles: 95.76 95.76 143.06
Fractional positions:
La (0.0000, 0.3280, 0.3280)
La (0.0000, 0.6720, 0.6720)
La (0.3280, 0.0000, 0.3280)
La (0.6720, 0.0000, 0.6720)
Tb (0.3388, 0.3388, 0.6776)
Tb (0.3388, 0.6612, 0.0000)
Tb (0.6612, 0.3388, 0.0000)
Tb (0.6612, 0.6612, 0.3224)
Th (0.0000, 0.0000, 0.0000)

Largest 6 diffraction maxima, sorted by position, 15 to 90 degrees two-theta:
30.04 deg, 2.975 Å, rel. 1000
34.82 deg, 2.576 Å, rel. 507
50.07 deg, 1.822 Å, rel. 361
59.50 deg, 1.554 Å, rel. 427
62.43 deg, 1.487 Å, rel. 123
81.41 deg, 1.182 Å, rel. 172

***

Starting from a crystal structure in Alexandria, relaxed with PBE, the XRD peak list of LaTb7Th2 was computed for λ = 1.5418 Å (Cu Kα).
Neutral-atom scattering factors, no anomalous dispersion.

Structure:
abc: 6.2029 7.1487 8.0243
angles: 77.55 74.95 73.37
Fractional positions:
La (0.0000, 0.0000, 0.0000)
Tb (0.0000, 0.5000, 0.0000)
Tb (0.1986, 0.7982, 0.5966)
Tb (0.3981, 0.5975, 0.2075)
Tb (0.4016, 0.0992, 0.2054)
Tb (0.5984, 0.9008, 0.7946)
Tb (0.6019, 0.4025, 0.7925)
Tb (0.8014, 0.2018, 0.4034)
Th (0.1958, 0.3046, 0.5983)
Th (0.8042, 0.6954, 0.4017)

Largest 6 diffraction maxima, sorted by position, 15 to 90 degrees two-theta:
30.46 deg, 2.935 Å, rel. 504
30.54 deg, 2.927 Å, rel. 1000
30.67 deg, 2.915 Å, rel. 494
35.28 deg, 2.544 Å, rel. 340
35.50 deg, 2.529 Å, rel. 673
60.60 deg, 1.528 Å, rel. 361

***

Starting from a crystal structure in Alexandria, relaxed with PBE, the XRD peak list of La9Tb4Th was computed for λ = 1.5418 Å (Cu Kα).
Neutral-atom scattering factors, no anomalous dispersion.

Structure:
abc: 10.1148 10.1148 11.5204
angles: 90.00 90.00 120.00
Fractional positions:
La (0.0740, 0.5370, 0.2500)
La (0.2074, 0.4148, 0.5353)
La (0.2074, 0.4148, 0.9647)
La (0.2074, 0.7926, 0.5353)
La (0.2074, 0.7926, 0.9647)
La (0.4148, 0.2074, 0.0353)
La (0.4148, 0.2074, 0.4647)
La (0.4630, 0.5370, 0.2500)
La (0.4630, 0.9260, 0.2500)
La (0.5370, 0.0740, 0.7500)
La (0.5370, 0.4630, 0.7500)
La (0.5852, 0.7926, 0.5353)
La (0.5852, 0.7926, 0.9647)
La (0.7926, 0.2074, 0.0353)
La (0.7926, 0.2074, 0.4647)
La (0.7926, 0.5852, 0.0353)
La (0.7926, 0.5852, 0.4647)
La (0.9260, 0.4630, 0.7500)
Tb (0.0000, 0.0000, 0.0000)
Tb (0.0000, 0.0000, 0.5000)
Tb (0.1100, 0.2199, 0.2500)
Tb (0.1100, 0.8900, 0.2500)
Tb (0.2199, 0.1100, 0.7500)
Tb (0.7801, 0.8900, 0.2500)
Tb (0.8900, 0.1100, 0.7500)
Tb (0.8900, 0.7801, 0.7500)
Th (0.3333, 0.6667, 0.7500)
Th (0.6667, 0.3333, 0.2500)

Largest 6 diffraction maxima, sorted by position, 15 to 90 degrees two-theta:
31.01 deg, 2.884 Å, rel. 584
31.16 deg, 2.870 Å, rel. 1000
31.61 deg, 2.830 Å, rel. 378
50.45 deg, 1.809 Å, rel. 233
54.77 deg, 1.676 Å, rel. 194
63.98 deg, 1.455 Å, rel. 235

***

Starting from a crystal structure in Alexandria, relaxed with PBE, the XRD peak list of La2Tb7Th2 was computed for λ = 1.5418 Å (Cu Kα).
Neutral-atom scattering factors, no anomalous dispersion.

Structure:
abc: 8.0747 8.0747 6.1772
angles: 106.15 106.15 91.60
Fractional positions:
La (0.2172, 0.7828, 0.0000)
La (0.7828, 0.2172, 0.0000)
Tb (0.0000, 0.0000, 0.5000)
Tb (0.0678, 0.5916, 0.3378)
Tb (0.2488, 0.2488, 0.0796)
Tb (0.4084, 0.9322, 0.6622)
Tb (0.5916, 0.0678, 0.3378)
Tb (0.7512, 0.7512, 0.9204)
Tb (0.9322, 0.4084, 0.6622)
Th (0.4060, 0.4060, 0.6856)
Th (0.5940, 0.5940, 0.3144)

Largest 6 diffraction maxima, sorted by position, 15 to 90 degrees two-theta:
30.20 deg, 2.959 Å, rel. 327
30.89 deg, 2.894 Å, rel. 507
31.74 deg, 2.819 Å, rel. 1000
31.85 deg, 2.809 Å, rel. 327
33.22 deg, 2.697 Å, rel. 482
33.75 deg, 2.655 Å, rel. 271

***

Starting from a crystal structure in Alexandria, relaxed with PBE, the XRD peak list of LaTb6Th3 was computed for λ = 1.5418 Å (Cu Kα).
Neutral-atom scattering factors, no anomalous dispersion.

Structure:
abc: 10.3800 5.6728 11.5358
angles: 90.00 95.57 90.00
Fractional positions:
La (0.0497, 0.2500, 0.3320)
La (0.9503, 0.7500, 0.6680)
Tb (0.1571, 0.2500, 0.6974)
Tb (0.1640, 0.7500, 0.1866)
Tb (0.1905, 0.7500, 0.4656)
Tb (0.2192, 0.7500, 0.9185)
Tb (0.3511, 0.2500, 0.2319)
Tb (0.4512, 0.2500, 0.8988)
Tb (0.5488, 0.7500, 0.1012)
Tb (0.6489, 0.7500, 0.7681)
Tb (0.7808, 0.2500, 0.0815)
Tb (0.8095, 0.2500, 0.5344)
Tb (0.8360, 0.2500, 0.8134)
Tb (0.8429, 0.7500, 0.3026)
Th (0.1021, 0.2500, 0.0181)
Th (0.3619, 0.7500, 0.6982)
Th (0.4585, 0.2500, 0.5651)
Th (0.5415, 0.7500, 0.4349)
Th (0.6381, 0.2500, 0.3018)
Th (0.8979, 0.7500, 0.9819)

Largest 6 diffraction maxima, sorted by position, 15 to 90 degrees two-theta:
30.12 deg, 2.967 Å, rel. 533
30.36 deg, 2.944 Å, rel. 349
31.54 deg, 2.836 Å, rel. 1000
31.89 deg, 2.806 Å, rel. 844
32.01 deg, 2.796 Å, rel. 494
56.42 deg, 1.631 Å, rel. 271

***

Starting from a crystal structure in Alexandria, relaxed with PBE, the XRD peak list of La5Tb12Th2 was computed for λ = 1.5418 Å (Cu Kα).
Neutral-atom scattering factors, no anomalous dispersion.

Structure:
abc: 6.1833 8.3699 12.9663
angles: 92.29 93.43 106.91
Fractional positions:
La (0.0000, 0.0000, 0.0000)
La (0.1342, 0.8694, 0.5310)
La (0.4370, 0.7922, 0.0581)
La (0.5630, 0.2078, 0.9419)
La (0.8658, 0.1306, 0.4690)
Tb (0.0561, 0.5226, 0.3643)
Tb (0.1276, 0.4188, 0.8923)
Tb (0.1798, 0.9650, 0.2643)
Tb (0.2662, 0.8300, 0.7934)
Tb (0.3072, 0.3740, 0.1584)
Tb (0.3836, 0.2616, 0.6800)
Tb (0.6163, 0.7384, 0.3200)
Tb (0.6928, 0.6260, 0.8416)
Tb (0.7338, 0.1700, 0.2066)
Tb (0.8202, 0.0350, 0.7357)
Tb (0.8724, 0.5812, 0.1077)
Tb (0.9439, 0.4774, 0.6357)
Th (0.4903, 0.3393, 0.4156)
Th (0.5097, 0.6607, 0.5844)

Largest 6 diffraction maxima, sorted by position, 15 to 90 degrees two-theta:
29.47 deg, 3.031 Å, rel. 260
30.47 deg, 2.933 Å, rel. 1000
30.87 deg, 2.896 Å, rel. 510
31.51 deg, 2.839 Å, rel. 211
33.52 deg, 2.673 Å, rel. 735
34.35 deg, 2.610 Å, rel. 173

***

Starting from a crystal structure in Alexandria, relaxed with PBE, the XRD peak list of La2Tb7Th4 was computed for λ = 1.5418 Å (Cu Kα).
Neutral-atom scattering factors, no anomalous dispersion.

Structure:
abc: 6.1157 6.1157 13.4164
angles: 90.00 90.00 120.00
Fractional positions:
La (0.3333, 0.6667, 0.0000)
La (0.6667, 0.3333, 0.0000)
Tb (0.0000, 0.0000, 0.0000)
Tb (0.0000, 0.3643, 0.7809)
Tb (0.0000, 0.6357, 0.2191)
Tb (0.3643, 0.0000, 0.7809)
Tb (0.3643, 0.3643, 0.2191)
Tb (0.6357, 0.0000, 0.2191)
Tb (0.6357, 0.6357, 0.7809)
Th (0.0000, 0.0000, 0.3909)
Th (0.0000, 0.0000, 0.6091)
Th (0.3333, 0.6667, 0.5000)
Th (0.6667, 0.3333, 0.5000)

Largest 6 diffraction maxima, sorted by position, 15 to 90 degrees two-theta:
29.20 deg, 3.058 Å, rel. 238
29.97 deg, 2.981 Å, rel. 474
31.57 deg, 2.834 Å, rel. 243
32.17 deg, 2.782 Å, rel. 1000
35.57 deg, 2.524 Å, rel. 239
51.78 deg, 1.765 Å, rel. 309

***

Starting from a crystal structure in Alexandria, relaxed with PBE, the XRD peak list of La6Tb10Th was computed for λ = 1.5418 Å (Cu Kα).
Neutral-atom scattering factors, no anomalous dispersion.

Structure:
abc: 9.7713 9.7713 7.0556
angles: 90.00 90.00 120.00
Fractional positions:
La (0.0000, 0.3746, 0.3022)
La (0.0000, 0.6254, 0.6978)
La (0.3746, 0.0000, 0.3022)
La (0.3746, 0.3746, 0.6978)
La (0.6254, 0.0000, 0.6978)
La (0.6254, 0.6254, 0.3022)
Tb (0.0000, 0.2723, 0.8213)
Tb (0.0000, 0.7277, 0.1787)
Tb (0.2723, 0.0000, 0.8213)
Tb (0.2723, 0.2723, 0.1787)
Tb (0.3333, 0.6667, 0.0000)
Tb (0.3333, 0.6667, 0.5000)
Tb (0.6667, 0.3333, 0.0000)
Tb (0.6667, 0.3333, 0.5000)
Tb (0.7277, 0.0000, 0.1787)
Tb (0.7277, 0.7277, 0.8213)
Th (0.0000, 0.0000, 0.5000)

Largest 6 diffraction maxima, sorted by position, 15 to 90 degrees two-theta:
30.69 deg, 2.913 Å, rel. 448
31.27 deg, 2.860 Å, rel. 1000
31.72 deg, 2.821 Å, rel. 727
45.15 deg, 2.008 Å, rel. 254
55.35 deg, 1.660 Å, rel. 267
56.23 deg, 1.636 Å, rel. 173

***

Starting from a crystal structure in Alexandria, relaxed with PBE, the XRD peak list of La5Tb4Th was computed for λ = 1.5418 Å (Cu Kα).
Neutral-atom scattering factors, no anomalous dispersion.

Structure:
abc: 9.3025 9.3025 11.1945
angles: 106.16 106.16 22.03
Fractional positions:
La (0.0000, 0.0000, 0.0000)
La (0.2966, 0.2966, 0.9006)
La (0.3974, 0.3974, 0.2206)
La (0.6026, 0.6026, 0.7794)
La (0.7034, 0.7034, 0.0994)
Tb (0.1956, 0.1956, 0.5806)
Tb (0.4059, 0.4059, 0.6822)
Tb (0.5941, 0.5941, 0.3178)
Tb (0.8044, 0.8044, 0.4194)
Th (0.0000, 0.0000, 0.5000)

Largest 6 diffraction maxima, sorted by position, 15 to 90 degrees two-theta:
29.39 deg, 3.039 Å, rel. 215
29.77 deg, 3.001 Å, rel. 1000
30.43 deg, 2.937 Å, rel. 505
31.99 deg, 2.798 Å, rel. 408
34.91 deg, 2.570 Å, rel. 224
36.00 deg, 2.495 Å, rel. 294

***

Starting from a crystal structure in Alexandria, relaxed with PBE, the XRD peak list of La7Tb2Th was computed for λ = 1.5418 Å (Cu Kα).
Neutral-atom scattering factors, no anomalous dispersion.

Structure:
abc: 10.6818 10.6818 10.6818
angles: 160.65 111.19 72.24
Fractional positions:
La (0.0000, 0.0000, 0.0000)
La (0.1123, 0.8600, 0.2522)
La (0.1737, 0.6737, 0.5000)
La (0.3922, 0.1400, 0.2522)
La (0.6078, 0.8600, 0.7478)
La (0.8263, 0.3263, 0.5000)
La (0.8877, 0.1400, 0.7478)
Tb (0.3373, 0.3373, 0.0000)
Tb (0.6627, 0.6627, 0.0000)
Th (0.5000, 0.0000, 0.5000)

Largest 6 diffraction maxima, sorted by position, 15 to 90 degrees two-theta:
25.36 deg, 3.512 Å, rel. 253
29.60 deg, 3.018 Å, rel. 364
31.09 deg, 2.876 Å, rel. 216
32.94 deg, 2.719 Å, rel. 1000
43.47 deg, 2.082 Å, rel. 173
54.68 deg, 1.679 Å, rel. 237

***

Starting from a crystal structure in Alexandria, relaxed with PBE, the XRD peak list of La7Tb4Th was computed for λ = 1.5418 Å (Cu Kα).
Neutral-atom scattering factors, no anomalous dispersion.

Structure:
abc: 6.4262 7.3919 9.0602
angles: 89.72 76.53 89.97
Fractional positions:
La (0.0000, 0.0000, 0.0000)
La (0.2251, 0.0001, 0.3365)
La (0.2785, 0.2559, 0.6704)
La (0.4983, 0.2606, 0.0026)
La (0.5017, 0.7394, 0.9974)
La (0.7215, 0.7441, 0.3296)
La (0.7749, 0.9999, 0.6635)
Tb (0.2135, 0.5001, 0.3299)
Tb (0.2737, 0.7395, 0.6731)
Tb (0.7263, 0.2605, 0.3269)
Tb (0.7865, 0.4999, 0.6701)
Th (0.0000, 0.5000, 0.0000)

Largest 6 diffraction maxima, sorted by position, 15 to 90 degrees two-theta:
28.03 deg, 3.183 Å, rel. 372
30.44 deg, 2.937 Å, rel. 477
31.00 deg, 2.885 Å, rel. 1000
32.60 deg, 2.747 Å, rel. 563
32.78 deg, 2.732 Å, rel. 269
49.16 deg, 1.853 Å, rel. 250